Starting from the GGA+U geometry in Alexandria, the powder XRD pattern of LiCoPO4 was simulated for Cu Kα X-rays.

Most intense lines, 10° ≤ 2θ ≤ 90°, by angle:
- 2θ = 20.97°, rel. 69, (1 1 0)
- 2θ = 24.12°, rel. 86, (1 1 1)
- 2θ = 26.66°, rel. 39, (1 0 2)
- 2θ = 31.84°, rel. 100, (1 1 2)
- 2θ = 34.16°, rel. 28, (2 0 2)
- 2θ = 36.74°, rel. 52, (3 0 0)
- 2θ = 43.77°, rel. 23, (2 0 3)
- 2θ = 49.40°, rel. 29, (2 2 2)
- 2θ = 57.56°, rel. 24, (1 4 0)
- 2θ = 63.13°, rel. 29, (4 1 2)

Structural model:
a b c (Å): 8.473 8.473 7.511
angles (deg): 90.00 90.00 120.00
Fractional coordinates of all 42 atoms:
Li  0.013  0.682  0.000
Li  0.318  0.331  0.000
Li  0.331  0.013  0.500
Li  0.669  0.987  0.000
Li  0.682  0.669  0.500
Li  0.987  0.318  0.500
Co  0.000  0.000  0.237
Co  0.000  0.000  0.737
Co  0.333  0.667  0.297
Co  0.333  0.667  0.893
Co  0.667  0.333  0.393
Co  0.667  0.333  0.797
P  0.037  0.675  0.601
P  0.325  0.362  0.601
P  0.362  0.037  0.101
P  0.638  0.963  0.601
P  0.675  0.638  0.101
P  0.963  0.325  0.101
O  0.070  0.218  0.098
O  0.110  0.531  0.092
O  0.145  0.720  0.777
O  0.148  0.930  0.098
O  0.173  0.742  0.443
O  0.218  0.148  0.598
O  0.258  0.430  0.443
O  0.280  0.425  0.777
O  0.421  0.890  0.092
O  0.425  0.145  0.277
O  0.430  0.173  0.943
O  0.469  0.579  0.092
O  0.531  0.421  0.592
O  0.570  0.827  0.443
O  0.575  0.855  0.777
O  0.579  0.110  0.592
O  0.720  0.575  0.277
O  0.742  0.570  0.943
O  0.782  0.852  0.098
O  0.827  0.258  0.943
O  0.852  0.070  0.598
O  0.855  0.280  0.277
O  0.890  0.469  0.592
O  0.930  0.782  0.598